The following is a simulated XRD peak list of MnGaFe2O6. It was derived from a cell relaxed with GGA+U, using Cu Kα (weighted mean of Kα1 and Kα2).
Lines closer than 0.1° are merged.

```
data_MnGaFe2O6
_chemical_formula_sum 'Mn1 Ga1 Fe2 O6'
_cell_length_a 5.0147
_cell_length_b 5.0618
_cell_length_c 5.3755
_cell_angle_alpha 62.38
_cell_angle_beta 89.73
_cell_angle_gamma 61.41
_symmetry_space_group_name_H-M 'P 1'
_symmetry_Int_Tables_number 1
_symmetry_space_group_name_Hall 'P 1'
loop_
_atom_site_label
_atom_site_type_symbol
_atom_site_fract_x
_atom_site_fract_y
_atom_site_fract_z
_atom_site_occupancy
Mn1 Mn 0.0000 0.0000 0.0000 1
Ga1 Ga 0.5027 0.9919 0.5080 1
Fe1 Fe 0.2009 0.5944 0.6067 1
Fe2 Fe 0.7068 0.5744 0.1249 1
O1 O 0.1067 0.0856 0.3124 1
O2 O 0.2966 0.1043 0.8131 1
O3 O 0.4276 0.4575 0.3426 1
O4 O 0.5814 0.5110 0.8055 1
O5 O 0.8081 0.7855 0.3148 1
O6 O 0.9198 0.7806 0.8152 1
```

Top 10 peaks for 15 to 90 degrees two-theta, sorted by position:
23.53°, I 37.6, (0 1 0); 24.33°, I 76.9, (1 1 1); 32.61°, I 100.0, (1 0 1); 33.32°, I 90.1, (1 1 -1); 33.49°, I 83.5, (0 1 2); 34.90°, I 87.6, (-1 1 1); 35.49°, I 75.1, (1 2 1); 35.83°, I 74.7, (2 1 0); 48.12°, I 39.6, (0 2 0); 54.60°, I 56.4, (1 2 3)